Simulated X-ray powder pattern
Compound: CaWO4
Radiation: copper Kα
Structure: DFT lattice parameters and positions (GGA+U)
Intensities are scaled so that the largest is 100.

Crystal structure
```
CaWO4
1.0
3.8866 -6.7708 0.0000
3.8866 6.7708 0.0000
0.0000 0.0000 5.3656
Ca W O
4 4 16
Cartesian
1.9433 2.1771 1.3414
1.9433 -2.1771 4.0242
5.8299 2.1771 1.3414
5.8299 -2.1771 4.0242
3.8866 5.5328 1.5751
3.8866 1.2380 4.2579
3.8866 -1.2380 1.1077
3.8866 -5.5328 3.7905
3.8866 5.5153 5.0853
1.9433 2.0039 4.0242
1.1621 0.0000 2.6828
3.8866 4.0843 2.7109
3.8866 2.6865 0.0281
2.7245 0.0000 0.0000
1.9433 -2.0039 1.3414
3.8866 1.2555 2.4025
3.8866 -1.2555 2.9630
5.8299 2.0039 4.0242
5.0487 0.0000 0.0000
3.8866 -2.6865 5.3374
3.8866 -4.0843 2.6546
6.6111 0.0000 2.6828
5.8299 -2.0039 1.3414
3.8866 -5.5153 0.2803
```

The 6 most intense peaks (2θ = 10–90°), by angle:
| d_spacing | I (rel.) |
| --- | --- |
| 4.204 | 65 |
| 3.887 | 29 |
| 3.385 | 21 |
| 2.857 | 100 |
| 2.101 | 21 |
| 1.952 | 22 |